No. 1
Computed powder diffractogram of Ac6Si2PdI3 for Cu Kα X-rays, from a DFT-relaxed cell (PBE, Alexandria).
Peak positions follow from Bragg's law for the DFT cell and can differ from measured ones.

Peak list (12 most intense, 2θ from 15° to 90°, by angle)
- 22.99°, 3.869 Å, rel. 8
- 23.83°, 3.734 Å, rel. 16
- 26.76°, 3.331 Å, rel. 100
- 29.29°, 3.049 Å, rel. 14
- 32.92°, 2.721 Å, rel. 11
- 36.36°, 2.471 Å, rel. 9
- 37.45°, 2.402 Å, rel. 18
- 38.93°, 2.313 Å, rel. 29
- 40.03°, 2.253 Å, rel. 13
- 48.78°, 1.867 Å, rel. 13
- 53.70°, 1.707 Å, rel. 9
- 63.34°, 1.468 Å, rel. 12

Structure:
Unit cell a=10.6951 b=10.6951 c=9.8985 alpha=106.47 beta=106.47 gamma=24.32
Atoms (fractional coordinates):
1 Ac 0.0111 0.0111 0.2173
2 Ac 0.3224 0.3224 0.4441
3 Ac 0.3446 0.3446 0.8871
4 Ac 0.6554 0.6554 0.1129
5 Ac 0.6776 0.6776 0.5559
6 Ac 0.9889 0.9889 0.7827
7 Si 0.1662 0.1662 0.3348
8 Si 0.8338 0.8338 0.6652
9 Pd 0.5000 0.5000 0.0000
10 I 0.1702 0.1702 0.8316
11 I 0.5000 0.5000 0.5000
12 I 0.8298 0.8298 0.1684

No. 2
Computed powder diffractogram of Na2TeCBr for Cu Kα X-rays, from a DFT-relaxed cell (PBE, Alexandria).
Peak positions follow from Bragg's law for the DFT cell and can differ from measured ones.

Peak list (12 most intense, 2θ from 15° to 90°, by angle)
- 20.93°, 4.244 Å, rel. 70
- 25.70°, 3.467 Å, rel. 100
- 29.77°, 3.001 Å, rel. 65
- 39.73°, 2.269 Å, rel. 63
- 42.60°, 2.122 Å, rel. 35
- 47.92°, 1.898 Å, rel. 30
- 50.43°, 1.810 Å, rel. 16
- 52.82°, 1.733 Å, rel. 25
- 59.66°, 1.550 Å, rel. 19
- 61.82°, 1.501 Å, rel. 22
- 68.08°, 1.377 Å, rel. 19
- 83.73°, 1.155 Å, rel. 15

Structure:
Unit cell a=6.0013 b=6.0013 c=4.2468 alpha=90.00 beta=90.00 gamma=90.00
Atoms (fractional coordinates):
1 Na 0.0000 0.5000 0.0000
2 Na 0.5000 0.0000 0.0000
3 Te 0.0000 0.0000 0.0000
4 C 0.0000 0.0000 0.5000
5 Br 0.5000 0.5000 0.5000

No. 3
Computed powder diffractogram of Ce2Cu3Ge4 for Cu Kα X-rays, from a DFT-relaxed cell (PBE, Alexandria).
Peak positions follow from Bragg's law for the DFT cell and can differ from measured ones.

Peak list (12 most intense, 2θ from 15° to 90°, by angle)
- 33.66°, 2.663 Å, rel. 36
- 35.38°, 2.537 Å, rel. 62
- 36.06°, 2.491 Å, rel. 100
- 37.76°, 2.383 Å, rel. 62
- 38.32°, 2.349 Å, rel. 38
- 39.25°, 2.295 Å, rel. 93
- 39.53°, 2.280 Å, rel. 39
- 51.97°, 1.760 Å, rel. 18
- 58.39°, 1.580 Å, rel. 30
- 61.61°, 1.505 Å, rel. 28
- 64.44°, 1.446 Å, rel. 16
- 77.18°, 1.236 Å, rel. 21

Structure:
Unit cell a=7.9579 b=7.9579 c=7.5484 alpha=90.00 beta=90.00 gamma=137.38
Atoms (fractional coordinates):
1 Ce 0.1139 0.8861 0.9123
2 Ce 0.3861 0.6139 0.4123
3 Ce 0.6139 0.3861 0.5877
4 Ce 0.8861 0.1139 0.0877
5 Cu 0.0000 0.0000 0.5000
6 Cu 0.0310 0.4690 0.7500
7 Cu 0.4690 0.0310 0.2500
8 Cu 0.5000 0.5000 0.0000
9 Cu 0.5310 0.9690 0.7500
10 Cu 0.9690 0.5310 0.2500
11 Ge 0.1810 0.8190 0.5301
12 Ge 0.1975 0.3025 0.7500
13 Ge 0.3025 0.1975 0.2500
14 Ge 0.3190 0.6810 0.0301
15 Ge 0.6810 0.3190 0.9699
16 Ge 0.6975 0.8025 0.7500
17 Ge 0.8025 0.6975 0.2500
18 Ge 0.8190 0.1810 0.4699

No. 4
Computed powder diffractogram of Ba2NaSr2Sb3O12 for Cu Kα X-rays, from a DFT-relaxed cell (PBE, Alexandria).
Peak positions follow from Bragg's law for the DFT cell and can differ from measured ones.

Peak list (12 most intense, 2θ from 15° to 90°, by angle)
- 15.07°, 5.878 Å, rel. 15
- 30.18°, 2.961 Å, rel. 21
- 30.41°, 2.939 Å, rel. 100
- 43.38°, 2.086 Å, rel. 26
- 43.72°, 2.071 Å, rel. 12
- 53.75°, 1.705 Å, rel. 16
- 54.04°, 1.697 Å, rel. 25
- 54.19°, 1.693 Å, rel. 8
- 63.28°, 1.470 Å, rel. 18
- 71.58°, 1.318 Å, rel. 8
- 72.06°, 1.311 Å, rel. 7
- 87.89°, 1.111 Å, rel. 13

Structure:
Unit cell a=8.3438 b=8.3438 c=8.2827 alpha=90.00 beta=90.00 gamma=89.57
Atoms (fractional coordinates):
1 Ba 0.2503 0.7497 0.2534
2 Ba 0.2497 0.7503 0.7534
3 Ba 0.7503 0.2497 0.2466
4 Ba 0.7497 0.2503 0.7466
5 Na 0.0000 0.0000 0.0000
6 Na 0.5000 0.5000 0.5000
7 Sr 0.2461 0.2539 0.2500
8 Sr 0.2539 0.2461 0.7500
9 Sr 0.7461 0.7539 0.2500
10 Sr 0.7539 0.7461 0.7500
11 Sb 0.0000 0.0000 0.5000
12 Sb 0.0000 0.5000 0.0000
13 Sb 0.0000 0.5000 0.5000
14 Sb 0.5000 0.0000 0.0000
15 Sb 0.5000 0.0000 0.5000
16 Sb 0.5000 0.5000 0.0000
17 O 0.0029 0.2503 0.4714
18 O 0.0058 0.2720 0.0289
19 O 0.0198 0.9802 0.2711
20 O 0.0331 0.4669 0.7500
21 O 0.2280 0.4942 0.4711
22 O 0.2503 0.0029 0.5286
23 O 0.2497 0.4971 0.0286
24 O 0.2720 0.0058 0.9711
25 O 0.4669 0.0331 0.2500
26 O 0.4802 0.5198 0.7711
27 O 0.4942 0.2280 0.5289
28 O 0.4971 0.2497 0.9714
29 O 0.5029 0.7503 0.0286
30 O 0.5058 0.7720 0.4711
31 O 0.5198 0.4802 0.2289
32 O 0.5331 0.9669 0.7500
33 O 0.7280 0.9942 0.0289
34 O 0.7503 0.5029 0.9714
35 O 0.7497 0.9971 0.4714
36 O 0.7720 0.5058 0.5289
37 O 0.9669 0.5331 0.2500
38 O 0.9802 0.0198 0.7289
39 O 0.9942 0.7280 0.9711
40 O 0.9971 0.7497 0.5286

No. 5
Computed powder diffractogram of YAl11 for Cu Kα X-rays, from a DFT-relaxed cell (PBE, Alexandria).
Peak positions follow from Bragg's law for the DFT cell and can differ from measured ones.

Peak list (12 most intense, 2θ from 15° to 90°, by angle)
- 21.89°, 4.061 Å, rel. 18
- 27.28°, 3.270 Å, rel. 31
- 31.88°, 2.807 Å, rel. 41
- 32.60°, 2.746 Å, rel. 12
- 35.89°, 2.502 Å, rel. 100
- 36.58°, 2.457 Å, rel. 60
- 38.31°, 2.349 Å, rel. 28
- 43.03°, 2.102 Å, rel. 20
- 44.63°, 2.030 Å, rel. 18
- 46.25°, 1.963 Å, rel. 13
- 55.00°, 1.670 Å, rel. 20
- 65.40°, 1.427 Å, rel. 27

Structure:
Unit cell a=8.5648 b=8.5648 c=8.5648 alpha=100.22 beta=100.22 gamma=130.18
Atoms (fractional coordinates):
1 Y 0.3750 0.6250 0.7500
2 Y 0.6250 0.3750 0.2500
3 Al 0.0000 0.0000 0.0000
4 Al 0.0000 0.0000 0.5000
5 Al 0.0000 0.5000 0.0000
6 Al 0.1250 0.8750 0.2500
7 Al 0.1340 0.5567 0.3347
8 Al 0.1340 0.7993 0.5773
9 Al 0.2007 0.2780 0.3347
10 Al 0.2007 0.8660 0.9227
11 Al 0.2780 0.2007 0.8347
12 Al 0.2780 0.4433 0.0773
13 Al 0.4433 0.2780 0.5773
14 Al 0.4433 0.8660 0.1653
15 Al 0.5000 0.0000 0.5000
16 Al 0.5567 0.1340 0.8347
17 Al 0.5567 0.7220 0.4227
18 Al 0.7220 0.5567 0.9227
19 Al 0.7220 0.7993 0.1653
20 Al 0.7993 0.1340 0.0773
21 Al 0.7993 0.7220 0.6653
22 Al 0.8660 0.2007 0.4227
23 Al 0.8660 0.4433 0.6653
24 Al 0.8750 0.1250 0.7500

No. 6
Computed powder diffractogram of Rb3PuO4 for Cu Kα X-rays, from a DFT-relaxed cell (PBE, Alexandria).
Peak positions follow from Bragg's law for the DFT cell and can differ from measured ones.

Peak list (12 most intense, 2θ from 15° to 90°, by angle)
- 17.59°, 5.041 Å, rel. 22
- 18.59°, 4.772 Å, rel. 17
- 27.16°, 3.284 Å, rel. 66
- 28.13°, 3.172 Å, rel. 100
- 29.77°, 3.001 Å, rel. 44
- 32.51°, 2.754 Å, rel. 97
- 33.41°, 2.682 Å, rel. 50
- 45.59°, 1.990 Å, rel. 35
- 48.97°, 1.860 Å, rel. 30
- 54.26°, 1.691 Å, rel. 20
- 54.38°, 1.687 Å, rel. 17
- 55.90°, 1.645 Å, rel. 19

Structure:
Unit cell a=6.9281 b=7.8674 c=6.3339 alpha=90.00 beta=108.63 gamma=90.00
Atoms (fractional coordinates):
1 Rb 0.0000 0.1126 0.2500
2 Rb 0.0000 0.8874 0.7500
3 Rb 0.5000 0.1426 0.7500
4 Rb 0.5000 0.3827 0.2500
5 Rb 0.5000 0.6173 0.7500
6 Rb 0.5000 0.8574 0.2500
7 Pu 0.0000 0.3941 0.7500
8 Pu 0.0000 0.6059 0.2500
9 O 0.1720 0.4167 0.4870
10 O 0.1720 0.5833 0.9870
11 O 0.1975 0.2076 0.9236
12 O 0.1975 0.7924 0.4236
13 O 0.8025 0.2076 0.5764
14 O 0.8025 0.7924 0.0764
15 O 0.8280 0.4167 0.0130
16 O 0.8280 0.5833 0.5130

No. 7
Computed powder diffractogram of Pu2Ga3Pt5 for Cu Kα X-rays, from a DFT-relaxed cell (PBE, Alexandria).
Peak positions follow from Bragg's law for the DFT cell and can differ from measured ones.

Peak list (12 most intense, 2θ from 15° to 90°, by angle)
- 33.85°, 2.648 Å, rel. 16
- 35.11°, 2.556 Å, rel. 100
- 35.46°, 2.532 Å, rel. 79
- 38.72°, 2.325 Å, rel. 18
- 39.02°, 2.309 Å, rel. 17
- 41.22°, 2.190 Å, rel. 13
- 41.82°, 2.160 Å, rel. 22
- 42.30°, 2.137 Å, rel. 46
- 54.46°, 1.685 Å, rel. 18
- 58.68°, 1.573 Å, rel. 18
- 61.00°, 1.519 Å, rel. 15
- 77.39°, 1.233 Å, rel. 14

Structure:
Unit cell a=4.2728 b=6.9183 c=12.5289 alpha=90.00 beta=99.82 gamma=90.00
Atoms (fractional coordinates):
1 Pu 0.0226 0.0000 0.0447
2 Pu 0.3221 0.9894 0.6444
3 Pu 0.6779 0.4894 0.3556
4 Pu 0.9774 0.5000 0.9553
5 Ga 0.1027 0.3383 0.2053
6 Ga 0.2828 0.4308 0.5654
7 Ga 0.4407 0.1861 0.8814
8 Ga 0.5593 0.6861 0.1186
9 Ga 0.7172 0.9308 0.4346
10 Ga 0.8973 0.8383 0.7947
11 Pt 0.1148 0.7264 0.2297
12 Pt 0.1934 0.1582 0.3866
13 Pt 0.2283 0.7371 0.4569
14 Pt 0.3828 0.5098 0.7658
15 Pt 0.4570 0.8093 0.9141
16 Pt 0.5430 0.3093 0.0859
17 Pt 0.6172 0.0098 0.2342
18 Pt 0.7717 0.2371 0.5431
19 Pt 0.8066 0.6582 0.6134
20 Pt 0.8852 0.2264 0.7703

No. 8
Computed powder diffractogram of LaDy3Ho3 for Cu Kα X-rays, from a DFT-relaxed cell (PBE, Alexandria).
Peak positions follow from Bragg's law for the DFT cell and can differ from measured ones.

Peak list (12 most intense, 2θ from 15° to 90°, by angle)
- 29.39°, 3.039 Å, rel. 45
- 29.71°, 3.007 Å, rel. 30
- 31.61°, 2.830 Å, rel. 94
- 32.57°, 2.749 Å, rel. 96
- 32.96°, 2.717 Å, rel. 100
- 33.98°, 2.638 Å, rel. 17
- 35.68°, 2.517 Å, rel. 16
- 47.02°, 1.933 Å, rel. 18
- 54.80°, 1.675 Å, rel. 23
- 58.81°, 1.570 Å, rel. 15
- 63.19°, 1.471 Å, rel. 31
- 65.23°, 1.430 Å, rel. 14

Structure:
Unit cell a=12.8874 b=12.8874 c=6.6186 alpha=99.84 beta=99.84 gamma=117.16
Atoms (fractional coordinates):
1 La 0.0000 0.0000 0.0000
2 La 0.0004 0.8236 0.3887
3 La 0.1764 0.1764 0.5672
4 La 0.8236 0.0004 0.3887
5 Dy 0.9999 0.5324 0.2074
6 Dy 0.9999 0.7120 0.8384
7 Dy 0.2617 0.7309 0.7300
8 Dy 0.2686 0.5301 0.9988
9 Dy 0.2875 0.2875 0.1273
10 Dy 0.4674 0.4674 0.6746
11 Dy 0.4695 0.7381 0.4681
12 Dy 0.5301 0.2686 0.9988
13 Dy 0.5324 0.9999 0.2074
14 Dy 0.7120 0.9999 0.8384
15 Dy 0.7309 0.2617 0.7300
16 Dy 0.7381 0.4695 0.4681
17 Ho 0.9996 0.2538 0.9445
18 Ho 0.9998 0.4527 0.6843
19 Ho 0.1960 0.4439 0.4394
20 Ho 0.2479 0.8034 0.2428
21 Ho 0.2538 0.9996 0.9445
22 Ho 0.4439 0.1960 0.4394
23 Ho 0.4527 0.9998 0.6843
24 Ho 0.5467 0.5467 0.2309
25 Ho 0.5560 0.7520 0.9950
26 Ho 0.7460 0.7460 0.6890
27 Ho 0.7520 0.5560 0.9950
28 Ho 0.8034 0.2479 0.2428